No. 1
Ce4Pu2Cd3: simulated PXRD pattern (Cu Kα (weighted mean of Kα1 and Kα2)), based on a cell relaxed with PBE.
Lines closer than 0.1° are merged.

Most intense lines, 10° ≤ 2θ ≤ 90°, in order of falling intensity:
2θ 34.26, I 100
2θ 33.20, I 52
2θ 35.56, I 30
2θ 18.46, I 19
2θ 35.25, I 18
2θ 50.22, I 17
2θ 60.01, I 15
2θ 33.86, I 13
2θ 61.75, I 10
2θ 28.87, I 9

Cell and atoms:
```
18
Lattice="8.1048 -4.4866 0.0000 8.1048 4.4866 0.0000 -0.2882 0.0000 6.1853" Properties=species:S:1:pos:R:3 pbc="T T T"
Ce 7.8127 3.0549 6.0186
Ce 7.9646 3.0549 3.2594
Ce 5.1864 0.9989 3.0946
Ce 5.3305 -0.9989 0.0019
Ce 10.5908 0.9989 6.1834
Ce 10.7349 -0.9989 3.0907
Ce 7.9568 -3.0549 2.9260
Ce 8.1087 -3.0549 0.1667
Pu 5.1820 1.7187 5.7358
Pu 10.5953 1.7187 3.5422
Pu 5.3260 -1.7187 2.6431
Pu 10.7394 -1.7187 0.4495
Cd 2.3935 0.2181 4.7051
Cd 2.5376 -0.2181 1.6124
Cd 8.0327 0.1021 1.5463
Cd 7.8886 -0.1021 4.6390
Cd 13.3838 0.2181 4.5729
Cd 13.5279 -0.2181 1.4802
```

No. 2
AcLaTl3: simulated PXRD pattern (Cu Kα (weighted mean of Kα1 and Kα2)), based on a cell relaxed with PBE.
Lines closer than 0.1° are merged.

Most intense lines, 10° ≤ 2θ ≤ 90°, in order of falling intensity:
2θ 30.25, I 100
2θ 30.37, I 92
2θ 36.79, I 42
2θ 34.14, I 38
2θ 34.44, I 38
2θ 28.36, I 26
2θ 62.30, I 25
2θ 51.28, I 25
2θ 51.07, I 25
2θ 28.19, I 21

Cell and atoms:
```
20
Lattice="8.2265 0.0000 0.0000 0.0000 8.3128 0.0000 0.0000 0.0000 9.7705" Properties=species:S:1:pos:R:3 pbc="T T T"
Ac 1.4397 1.3865 0.0000
Ac 2.6735 5.5428 4.8853
Ac 5.5529 2.7699 4.8853
Ac 6.7868 6.9263 0.0000
La 1.4178 1.3627 4.8853
La 2.6954 5.5191 0.0000
La 5.5310 2.7936 0.0000
La 6.8086 6.9500 4.8853
Tl 0.0000 4.1564 2.3947
Tl 0.0000 4.1564 7.3758
Tl 1.0774 7.2045 2.4393
Tl 1.0774 7.2045 7.3312
Tl 3.0358 3.0481 2.4460
Tl 3.0358 3.0481 7.3245
Tl 4.1132 0.0000 2.4906
Tl 4.1132 0.0000 7.2800
Tl 5.1907 5.2647 2.4460
Tl 5.1907 5.2647 7.3245
Tl 7.1490 1.1083 2.4393
Tl 7.1490 1.1083 7.3312
```

No. 3
Cu3IBr2: simulated PXRD pattern (Cu Kα (weighted mean of Kα1 and Kα2)), based on a cell relaxed with PBE.
Lines closer than 0.1° are merged.

Most intense lines, 10° ≤ 2θ ≤ 90°, in order of falling intensity:
2θ 26.45, I 100
2θ 43.87, I 60
2θ 52.02, I 29
2θ 51.87, I 15
2θ 80.72, I 15
2θ 43.95, I 12
2θ 70.27, I 12
2θ 86.82, I 7
2θ 63.89, I 7
2θ 70.40, I 6

Cell and atoms:
```
12
Lattice="3.5761 -6.1831 0.0000 3.5761 6.1831 0.0000 -2.4125 0.0000 6.7411" Properties=species:S:1:pos:R:3 pbc="T T T"
Cu 2.3698 5.1643 3.3705
Cu 1.0877 3.1717 6.7382
Cu 2.3259 1.0915 3.2702
Cu 1.1197 -1.0915 6.6407
Cu 2.2939 -3.1717 3.3676
Cu 3.5761 -5.1643 0.0000
I 2.3123 1.0697 5.8588
I 3.5185 -1.0697 2.4883
Br -0.0523 1.0185 2.4963
Br -1.2585 -1.0185 5.8668
Br 3.5263 3.1304 2.4936
Br 2.3201 -3.1304 5.8642
```